(1)
Structure and calculated powder XRD pattern of Pr4AgN (the GGA-PBE geometry in Alexandria; Cu Kα, 1.54184 Å).
Lines closer than 0.1° are merged.

a = 5.2864 Å, b = 9.4456 Å, c = 7.2182 Å
α = 90.00°, β = 90.00°, γ = 90.00°
Space group Pmmn (No. 59, origin choice 2)
Symmetry-distinct sites (fractional):
Pr 0.2500 0.0473 0.2042 (multiplicity 4)
Pr 0.2500 0.2500 0.7109 (multiplicity 2)
Pr 0.2500 0.7500 0.6024 (multiplicity 2)
Ag 0.2500 0.7500 0.0215 (multiplicity 2)
N 0.2500 0.2500 0.3891 (multiplicity 2)

Peak list (10 most intense, 10° ≤ 2θ ≤ 90°, by intensity)
h k l  two_theta  Rel. int.
1 2 1  28.2  100.0
1 1 2  31.5  48.7
2 0 0  33.9  41.4
1 0 2  30.0  33.2
1 5 2  57.8  18.9
1 3 0  33.1  18.7
0 2 3  42.2  17.6
0 4 0  38.1  16.6
0 3 1  31.0  16.0
2 2 3  55.2  15.8


(2)
Structure and calculated powder XRD pattern of YErGaGe (the GGA-PBE geometry in Alexandria; Cu Kα, 1.54184 Å).
Lines closer than 0.1° are merged.

a = 3.9923 Å, b = 4.3049 Å, c = 10.7452 Å
α = 90.00°, β = 90.00°, γ = 90.00°
Space group Amm2 (No. 38)
Symmetry-distinct sites (fractional):
Y 0.0000 0.0000 0.0000 (multiplicity 2)
Er 0.5000 0.0000 0.2792 (multiplicity 2)
Ga 0.5000 0.0000 0.5597 (multiplicity 2)
Ge 0.0000 0.0000 0.7196 (multiplicity 2)

Peak list (10 most intense, 10° ≤ 2θ ≤ 90°, by intensity)
h k l  two_theta  Rel. int.
1 1 1  31.7  100.0
1 1 3  39.8  57.0
0 1 3  32.5  34.7
0 0 4  33.4  26.9
0 2 0  42.0  25.3
2 0 0  45.4  21.8
1 0 4  40.5  19.3
1 3 3  75.2  16.6
1 0 2  27.8  15.0
2 2 0  63.6  14.5


(3)
Structure and calculated powder XRD pattern of Tb6ScPb10 (the GGA-PBE geometry in Alexandria; Cu Kα, 1.54184 Å).
Lines closer than 0.1° are merged.

a = 9.3375 Å, b = 9.3375 Å, c = 6.4866 Å
α = 90.00°, β = 90.00°, γ = 120.00°
Space group P-31m (No. 162)
Symmetry-distinct sites (fractional):
Tb 0.0000 0.3912 0.2592 (multiplicity 6)
Sc 0.0000 0.0000 0.5000 (multiplicity 1)
Pb 0.0000 0.2512 0.7890 (multiplicity 6)
Pb 0.3333 0.6667 0.0000 (multiplicity 2)
Pb 0.3333 0.6667 0.5000 (multiplicity 2)

Peak list (10 most intense, 10° ≤ 2θ ≤ 90°, by intensity)
h k l  two_theta  Rel. int.
3 -1 1  32.4  100.0
1 1 2  33.6  95.2
3 0 0  33.2  60.0
3 -1 3  51.8  30.0
2 1 0  29.2  29.7
4 -2 2  48.0  23.3
3 2 1  51.2  15.4
1 0 2  29.7  13.3
5 0 2  64.4  13.2
4 -1 1  42.7  12.9


(4)
Structure and calculated powder XRD pattern of Na3P2Pt (the GGA-PBE geometry in Alexandria; Cu Kα, 1.54184 Å).
Lines closer than 0.1° are merged.

a = 8.3048 Å, b = 9.6051 Å, c = 6.5600 Å
α = 90.00°, β = 90.00°, γ = 90.00°
Space group Cmcm (No. 63)
Symmetry-distinct sites (fractional):
Na 0.0000 0.0800 0.2500 (multiplicity 4)
Na 0.1995 0.2412 0.7500 (multiplicity 8)
P 0.2106 0.5000 0.0000 (multiplicity 8)
Pt 0.0000 0.4763 0.2500 (multiplicity 4)

Peak list (10 most intense, 10° ≤ 2θ ≤ 90°, by intensity)
h k l  two_theta  Rel. int.
1 1 0  14.1  100.0
2 2 2  39.7  39.7
0 2 0  18.5  37.5
1 1 2  30.8  21.7
2 2 0  28.4  18.9
1 3 0  29.9  18.2
2 0 2  34.9  18.1
3 1 2  43.8  16.4
0 0 2  27.2  13.3
3 3 2  51.8  12.7


(5)
Structure and calculated powder XRD pattern of ThPaFe10 (the GGA-PBE geometry in Alexandria; Cu Kα, 1.54184 Å).
Lines closer than 0.1° are merged.

a = 4.0557 Å, b = 4.9908 Å, c = 8.6458 Å
α = 90.00°, β = 90.00°, γ = 90.00°
Space group Pmmm (No. 47)
Symmetry-distinct sites (fractional):
Th 0.0000 0.0000 0.0000 (multiplicity 1)
Pa 0.0000 0.5000 0.5000 (multiplicity 1)
Fe 0.0000 0.0000 0.3389 (multiplicity 2)
Fe 0.0000 0.5000 0.1737 (multiplicity 2)
Fe 0.5000 0.0000 0.5000 (multiplicity 1)
Fe 0.5000 0.2511 0.2535 (multiplicity 4)
Fe 0.5000 0.5000 0.0000 (multiplicity 1)

Peak list (10 most intense, 10° ≤ 2θ ≤ 90°, by intensity)
h k l  two_theta  Rel. int.
1 2 0  42.5  100.0
1 1 1  30.2  78.9
0 2 0  36.0  39.8
0 0 4  41.8  38.5
2 0 0  44.7  24.1
2 0 4  62.8  22.7
1 3 3  69.2  22.6
1 2 4  61.2  22.4
0 1 1  20.5  20.5
2 2 0  58.7  19.5


(6)
Structure and calculated powder XRD pattern of BaY2 (the GGA-PBE geometry in Alexandria; Cu Kα, 1.54184 Å).
Lines closer than 0.1° are merged.

a = 3.7922 Å, b = 5.1991 Å, c = 11.7622 Å
α = 90.00°, β = 90.00°, γ = 90.00°
Space group Immm (No. 71)
Symmetry-distinct sites (fractional):
Ba 0.0000 0.0000 0.0000 (multiplicity 2)
Y 0.0000 0.0000 0.3207 (multiplicity 4)

Peak list (10 most intense, 10° ≤ 2θ ≤ 90°, by intensity)
h k l  two_theta  Rel. int.
0 1 3  28.5  100.0
1 1 0  29.1  97.6
1 0 3  32.9  68.5
1 2 3  48.4  45.1
0 2 0  34.5  30.9
2 1 3  56.8  27.8
1 1 6  55.7  26.7
3 1 0  77.7  15.6
1 3 0  58.6  13.1
0 3 3  58.2  12.9


(7)
Structure and calculated powder XRD pattern of Ag7Pt3 (the GGA-PBE geometry in Alexandria; Cu Kα, 1.54184 Å).
Lines closer than 0.1° are merged.

a = 2.8476 Å, b = 4.1518 Å, c = 14.4043 Å
α = 90.00°, β = 90.00°, γ = 90.00°
Space group Pmm2 (No. 25)
Symmetry-distinct sites (fractional):
Ag 0.0000 0.0000 0.0000 (multiplicity 1)
Ag 0.0000 0.0000 0.1959 (multiplicity 1)
Ag 0.0000 0.0000 0.5904 (multiplicity 1)
Ag 0.0000 0.0000 0.7954 (multiplicity 1)
Ag 0.5000 0.5000 0.4904 (multiplicity 1)
Ag 0.5000 0.5000 0.6945 (multiplicity 1)
Ag 0.5000 0.5000 0.8992 (multiplicity 1)
Pt 0.0000 0.0000 0.3892 (multiplicity 1)
Pt 0.5000 0.5000 0.0998 (multiplicity 1)
Pt 0.5000 0.5000 0.2962 (multiplicity 1)

Peak list (10 most intense, 10° ≤ 2θ ≤ 90°, by intensity)
h k l  two_theta  Rel. int.
0 1 5  38.0  100.0
1 1 0  38.3  99.2
1 0 5  44.7  62.6
1 2 5  64.3  41.4
0 2 0  43.6  37.7
2 1 5  78.4  23.4
1 1 10  77.8  23.1
1 3 0  76.5  12.6
0 3 5  76.3  12.6
2 2 0  82.1  11.8


(8)
Structure and calculated powder XRD pattern of K2LiAlF6 (the GGA-PBE geometry in Alexandria; Cu Kα, 1.54184 Å).
Lines closer than 0.1° are merged.

a = 5.7059 Å, b = 5.7059 Å, c = 27.9983 Å
α = 90.00°, β = 90.00°, γ = 120.00°
Space group R-3m (No. 166, hexagonal axes)
Symmetry-distinct sites (fractional):
K 0.0000 0.0000 0.1276 (multiplicity 6)
K 0.0000 0.0000 0.2808 (multiplicity 6)
Li 0.0000 0.0000 0.4028 (multiplicity 6)
Al 0.0000 0.0000 0.0000 (multiplicity 3)
Al 0.0000 0.0000 0.5000 (multiplicity 3)
F 0.0273 0.5136 0.7044 (multiplicity 18)
F 0.0369 0.5185 0.1275 (multiplicity 18)

Peak list (10 most intense, 10° ≤ 2θ ≤ 90°, by intensity)
h k l  two_theta  Rel. int.
0 2 7  43.0  100.0
2 0 5  39.9  95.7
1 1 0  31.3  84.4
2 2 0  65.4  40.5
0 0 12  38.6  39.4
1 0 7  28.7  27.9
3 0 0  55.8  23.5
2 0 8  44.9  22.6
1 0 4  22.0  21.8
0 0 6  19.0  21.7